The following is a theoretical XRD peak list of Li5VO4F. It was derived from a cell relaxed with PBE+U, using Cu Kα (λ = 1.5418 Å).
Intensities are scaled so that the largest is 100.

Peak list (8 most intense, 2θ = 10–90°, sorted by position)
2θ = 17.92°, I = 38; 2θ = 20.51°, I = 57; 2θ = 20.99°, I = 79; 2θ = 22.33°, I = 100; 2θ = 26.89°, I = 45; 2θ = 37.71°, I = 29; 2θ = 40.57°, I = 29; 2θ = 43.44°, I = 57

Crystal structure
Cell: 5.2423 8.9287 5.3988 Å, 90.00 113.51 90.00°
Positions (direct):
Li (0.1585, 0.0000, 0.0182)
Li (0.1790, 0.2798, 0.9044)
Li (0.2333, 0.1822, 0.3946)
Li (0.2992, 0.8109, 0.4934)
Li (0.3168, 0.6983, 0.0515)
Li (0.6832, 0.1983, 0.9485)
Li (0.7008, 0.3109, 0.5066)
Li (0.7667, 0.6822, 0.6054)
Li (0.8210, 0.7798, 0.0956)
Li (0.8415, 0.5000, 0.9818)
V (0.2462, 0.5122, 0.5838)
V (0.7538, 0.0122, 0.4162)
O (0.0492, 0.9824, 0.3242)
O (0.1161, 0.6263, 0.2791)
O (0.4236, 0.3318, 0.6772)
O (0.4891, 0.1475, 0.1909)
O (0.5109, 0.6475, 0.8091)
O (0.5764, 0.8318, 0.3228)
O (0.8839, 0.1263, 0.7209)
O (0.9508, 0.4824, 0.6758)
F (0.0192, 0.8195, 0.8358)
F (0.9808, 0.3195, 0.1642)